# 1
CrCo6Si: calculated powder diffractogram (Cu Kα (λ = 1.5418 Å)), based on a cell relaxed with GGA-PBE.
Kinematic intensities with the Lorentz-polarization factor, no thermal factor.

Structure:
a b c (Å): 6.0179 6.0179 9.8456
angles (deg): 90.00 90.00 109.63
Element x y z (fractional)
Cr  0.0000  0.0000  0.2462
Cr  0.0000  0.0000  0.7538
Cr  0.2451  0.7549  0.5000
Cr  0.7549  0.2451  0.5000
Co  0.0000  0.0000  0.0000
Co  0.0000  0.0000  0.5000
Co  0.1235  0.3746  0.3762
Co  0.1235  0.3746  0.6238
Co  0.1245  0.3728  0.1261
Co  0.1245  0.3728  0.8739
Co  0.2489  0.7511  0.2524
Co  0.2489  0.7511  0.7476
Co  0.3728  0.1245  0.1261
Co  0.3728  0.1245  0.8739
Co  0.3746  0.1235  0.3762
Co  0.3746  0.1235  0.6238
Co  0.5000  0.5000  0.0000
Co  0.5000  0.5000  0.5000
Co  0.6254  0.8765  0.3762
Co  0.6254  0.8765  0.6238
Co  0.6272  0.8755  0.1261
Co  0.6272  0.8755  0.8739
Co  0.7511  0.2489  0.2524
Co  0.7511  0.2489  0.7476
Co  0.8755  0.6272  0.1261
Co  0.8755  0.6272  0.8739
Co  0.8765  0.6254  0.3762
Co  0.8765  0.6254  0.6238
Si  0.2462  0.7538  0.0000
Si  0.5000  0.5000  0.2484
Si  0.5000  0.5000  0.7516
Si  0.7538  0.2462  0.0000

Largest 8 diffraction maxima, in order of rising 2θ, 2θ = 15–90°:
2θ (°)	d_spacing	I/Imax
15.6	5.668	1
25.6	3.475	3
36.6	2.457	2
45.2	2.007	100
52.6	1.740	31
52.8	1.734	15
77.6	1.230	9
77.8	1.228	18


# 2
Dy7S5N: calculated powder diffractogram (Cu Kα (λ = 1.5418 Å)), based on a cell relaxed with GGA-PBE.
Kinematic intensities with the Lorentz-polarization factor, no thermal factor.

Structure:
a b c (Å): 6.7170 6.7170 23.8423
angles (deg): 90.00 90.00 147.83
Element x y z (fractional)
Dy  0.0459  0.9541  0.5000
Dy  0.1112  0.8888  0.7820
Dy  0.1641  0.8359  0.2069
Dy  0.2660  0.7340  0.5600
Dy  0.3327  0.6673  0.4144
Dy  0.3928  0.6072  0.8492
Dy  0.4396  0.5604  0.1302
Dy  0.5604  0.4396  0.6302
Dy  0.6072  0.3928  0.3492
Dy  0.6673  0.3327  0.9144
Dy  0.7340  0.2660  0.0600
Dy  0.8359  0.1641  0.7069
Dy  0.8888  0.1112  0.2820
Dy  0.9541  0.0459  0.0000
S  0.0261  0.9739  0.8886
S  0.0839  0.9161  0.0976
S  0.1965  0.8035  0.6712
S  0.2465  0.7535  0.3114
S  0.4750  0.5250  0.7429
S  0.5250  0.4750  0.2429
S  0.7535  0.2465  0.8114
S  0.8035  0.1965  0.1712
S  0.9161  0.0839  0.5976
S  0.9739  0.0261  0.3886
N  0.3624  0.6376  0.0460
N  0.6376  0.3624  0.5460

Largest 8 diffraction maxima, in order of rising 2θ, 2θ = 15–90°:
2θ (°)	d_spacing	I/Imax
27.3	3.261	45
27.9	3.198	38
29.1	3.067	72
29.7	3.012	100
32.7	2.740	81
33.1	2.706	42
33.8	2.653	73
46.9	1.938	44


# 3
SrPtW: calculated powder diffractogram (Cu Kα (λ = 1.5418 Å)), based on a cell relaxed with GGA-PBE.
Kinematic intensities with the Lorentz-polarization factor, no thermal factor.

Structure:
a b c (Å): 3.2351 4.0519 10.6158
angles (deg): 90.00 98.69 90.00
Element x y z (fractional)
Sr  0.0000  0.0000  0.0000
Sr  0.1740  0.0000  0.3499
Pt  0.4170  0.5000  0.8329
Pt  0.5868  0.5000  0.1748
W  0.3325  0.0000  0.6637
W  0.8087  0.5000  0.6160

Largest 8 diffraction maxima, in order of rising 2θ, 2θ = 15–90°:
2θ (°)	d_spacing	I/Imax
16.9	5.247	63
33.9	2.648	97
35.0	2.562	71
35.8	2.510	100
37.8	2.378	39
41.7	2.166	75
44.7	2.026	44
58.0	1.589	33


# 4
Sr2Ca12Tl7: calculated powder diffractogram (Cu Kα (λ = 1.5418 Å)), based on a cell relaxed with GGA-PBE.
Kinematic intensities with the Lorentz-polarization factor, no thermal factor.

Structure:
a b c (Å): 14.0938 14.0938 4.2098
angles (deg): 90.00 90.00 120.00
Element x y z (fractional)
Sr  0.0000  0.0000  0.0000
Sr  0.3333  0.6667  0.5000
Ca  0.0497  0.2711  0.5000
Ca  0.1044  0.7036  0.0000
Ca  0.2214  0.9503  0.5000
Ca  0.2964  0.4007  0.0000
Ca  0.3985  0.1840  0.0000
Ca  0.5402  0.4373  0.5000
Ca  0.5627  0.1030  0.5000
Ca  0.5993  0.8956  0.0000
Ca  0.7289  0.7786  0.5000
Ca  0.7855  0.6015  0.0000
Ca  0.8160  0.2145  0.0000
Ca  0.8970  0.4598  0.5000
Tl  0.0936  0.4670  0.0000
Tl  0.2307  0.1928  0.5000
Tl  0.3734  0.9064  0.0000
Tl  0.5330  0.6266  0.0000
Tl  0.6667  0.3333  0.0000
Tl  0.8072  0.0378  0.5000
Tl  0.9622  0.7693  0.5000

Largest 8 diffraction maxima, in order of rising 2θ, 2θ = 15–90°:
2θ (°)	d_spacing	I/Imax
19.2	4.613	100
22.3	3.980	23
25.7	3.465	24
28.7	3.110	65
30.6	2.926	22
33.6	2.663	69
34.0	2.638	34
55.7	1.651	33


# 5
BaH: calculated powder diffractogram (Cu Kα (λ = 1.5418 Å)), based on a cell relaxed with GGA-PBE.
Kinematic intensities with the Lorentz-polarization factor, no thermal factor.

Structure:
a b c (Å): 4.4365 4.4292 6.7600
angles (deg): 90.00 90.08 90.00
Element x y z (fractional)
Ba  0.2495  0.2500  0.2878
Ba  0.7505  0.7500  0.7122
H  0.2501  0.7500  0.5006
H  0.7499  0.2500  0.4994

Largest 8 diffraction maxima, in order of rising 2θ, 2θ = 15–90°:
2θ (°)	d_spacing	I/Imax
24.0	3.707	100
26.4	3.380	16
28.5	3.134	34
39.2	2.298	23
40.7	2.216	13
45.1	2.009	11
47.8	1.902	31
49.2	1.853	12


# 6
Nd2P3Rh3: calculated powder diffractogram (Cu Kα (λ = 1.5418 Å)), based on a cell relaxed with GGA-PBE.
Kinematic intensities with the Lorentz-polarization factor, no thermal factor.

Structure:
a b c (Å): 2.9074 2.9074 19.7829
angles (deg): 90.00 90.00 90.00
Element x y z (fractional)
Nd  0.0000  0.0000  0.2458
Nd  0.0000  0.0000  0.7542
P  0.0000  0.0000  0.0000
P  0.0000  0.0000  0.3871
P  0.0000  0.0000  0.6129
Rh  0.0000  0.0000  0.1082
Rh  0.0000  0.0000  0.5000
Rh  0.0000  0.0000  0.8918

Largest 8 diffraction maxima, in order of rising 2θ, 2θ = 15–90°:
2θ (°)	d_spacing	I/Imax
30.8	2.907	100
36.3	2.473	24
41.4	2.181	16
44.0	2.056	36
48.3	1.884	42
58.4	1.581	24
72.7	1.300	16
84.1	1.151	17


# 7
NaSmGdCd: calculated powder diffractogram (Cu Kα (λ = 1.5418 Å)), based on a cell relaxed with GGA-PBE.
Kinematic intensities with the Lorentz-polarization factor, no thermal factor.

Structure:
a b c (Å): 5.4642 5.4642 5.4642
angles (deg): 60.00 60.00 60.00
Element x y z (fractional)
Na  0.0000  0.0000  0.0000
Sm  0.7500  0.7500  0.7500
Gd  0.2500  0.2500  0.2500
Cd  0.5000  0.5000  0.5000

Largest 8 diffraction maxima, in order of rising 2θ, 2θ = 15–90°:
2θ (°)	d_spacing	I/Imax
19.9	4.461	10
23.0	3.864	17
32.8	2.732	100
47.0	1.932	18
53.0	1.728	7
58.5	1.577	37
68.7	1.366	11
78.2	1.222	16


# 8
MoBrCl3: calculated powder diffractogram (Cu Kα (λ = 1.5418 Å)), based on a cell relaxed with GGA-PBE.
Kinematic intensities with the Lorentz-polarization factor, no thermal factor.

Structure:
a b c (Å): 9.4811 6.0737 13.0627
angles (deg): 90.00 132.20 90.00
Element x y z (fractional)
Mo  0.0021  0.0029  0.3902
Mo  0.0021  0.4971  0.8902
Mo  0.9979  0.5029  0.1098
Mo  0.9979  0.9971  0.6098
Br  0.3072  0.6883  0.0227
Br  0.3072  0.8117  0.5227
Br  0.6928  0.1883  0.4773
Br  0.6928  0.3117  0.9773
Cl  0.1329  0.2312  0.0674
Cl  0.1329  0.2688  0.5674
Cl  0.1346  0.2390  0.8176
Cl  0.1346  0.2610  0.3176
Cl  0.2826  0.6885  0.2618
Cl  0.2826  0.8115  0.7618
Cl  0.7174  0.1885  0.2382
Cl  0.7174  0.3115  0.7382
Cl  0.8654  0.7390  0.6824
Cl  0.8654  0.7610  0.1824
Cl  0.8671  0.7312  0.4326
Cl  0.8671  0.7688  0.9326

Largest 8 diffraction maxima, in order of rising 2θ, 2θ = 15–90°:
2θ (°)	d_spacing	I/Imax
17.2	5.144	100
17.4	5.110	62
27.3	3.265	30
29.4	3.040	54
33.4	2.681	49
33.9	2.642	41
39.2	2.297	36
42.9	2.110	28